Computed powder diffraction line list of CaSmFe4O12 for Cu Kα (λ = 1.5418 Å), from a GGA+U-relaxed structure.

Main lines, in order of rising 2θ (10° ≤ 2θ ≤ 80°):
11.61 deg, d 7.622, I = 18
16.53 deg, d 5.364, I = 17
20.25 deg, d 4.386, I = 67
33.36 deg, d 2.686, I = 100
39.38 deg, d 2.288, I = 24
47.97 deg, d 1.896, I = 33
59.67 deg, d 1.550, I = 25
70.00 deg, d 1.344, I = 18

Crystal structure
```
CaSmFe4O12
1.0
5.3636 0.0000 0.0000
0.0000 5.3636 0.0000
0.0000 0.0000 7.6216
Ca Sm Fe O
1 1 4 12
Direct
0.0000 0.0000 0.0000
0.5000 0.5000 0.5000
0.0000 0.5000 0.2480
0.0000 0.5000 0.7520
0.5000 0.0000 0.2480
0.5000 0.0000 0.7520
0.0000 0.5000 0.0000
0.0000 0.5000 0.5000
0.2546 0.2546 0.2576
0.2546 0.2546 0.7424
0.2546 0.7454 0.2576
0.2546 0.7454 0.7424
0.5000 0.0000 0.0000
0.5000 0.0000 0.5000
0.7454 0.2546 0.2576
0.7454 0.2546 0.7424
0.7454 0.7454 0.2576
0.7454 0.7454 0.7424
```